Entry 1:
Simulated powder XRD pattern of Sr4Sm3S8 for Cu Kα (weighted mean of Kα1 and Kα2), from a PBE-relaxed structure.
Intensities are scaled so that the largest is 100.

Crystal structure
a = 11.6497 Å, b = 11.7029 Å, c = 8.2503 Å
α = 90.00°, β = 134.48°, γ = 90.00°
Space group C2/m (No. 12)
Inequivalent atoms, fractional coordinates:
Sr1 0.0000 0.0000 0.0000
Sr2 0.0000 0.5000 0.5000
Sr3 0.2500 0.2500 0.0000
Sm1 0.0000 0.5000 0.0000
Sm2 0.2500 0.2500 0.5000
S1 0.0000 0.2499 0.5000
S2 0.0000 0.2550 0.0000
S3 0.2375 0.5000 0.9943
S4 0.2456 0.5000 0.4876

Main lines, sorted by position (2θ from 5° to 70°):
| d [Å] | intensity | (hkl) |
| --- | --- | --- |
| 4.151 | 33 | 0 2 1 |
| 3.388 | 65 | 2 2 0 |
| 3.371 | 64 | 2 2 -2 |
| 2.943 | 93 | 0 0 2 |
| 2.926 | 92 | 0 4 0 |
| 2.912 | 91 | 4 0 -2 |
| 2.076 | 100 | 0 4 2 |
| 2.064 | 98 | 4 4 -2 |
| 1.694 | 35 | 4 4 0 |
| 1.686 | 34 | 4 4 -4 |

Entry 2:
Simulated powder XRD pattern of SmTa2S6 for Cu Kα (weighted mean of Kα1 and Kα2), from a PBE-relaxed structure.
Intensities are scaled so that the largest is 100.

Crystal structure
a = 11.7130 Å, b = 4.8516 Å, c = 8.5197 Å
α = 90.00°, β = 118.13°, γ = 90.00°
Space group C2/m (No. 12)
Inequivalent atoms, fractional coordinates:
Sm1 0.0000 0.0000 0.0000
Ta1 0.1900 0.0000 0.5779
S1 0.0208 0.0000 0.6883
S2 0.1527 0.5000 0.1148
S3 0.1922 0.5000 0.5962

Main lines, sorted by position (2θ from 5° to 70°):
| d [Å] | intensity | (hkl) |
| --- | --- | --- |
| 7.513 | 79 | 0 0 1 |
| 5.688 | 78 | 2 0 -1 |
| 4.391 | 100 | 1 1 0 |
| 3.757 | 46 | 0 0 2 |
| 3.546 | 88 | 2 0 1 |
| 3.188 | 59 | 1 1 -2 |
| 3.041 | 90 | 3 1 -1 |
| 2.472 | 55 | 4 0 -3 |
| 2.426 | 65 | 0 2 0 |
| 2.009 | 41 | 1 1 3 |

Entry 3:
Simulated powder XRD pattern of Tb2SmS4 for Cu Kα (weighted mean of Kα1 and Kα2), from a PBE-relaxed structure.
Intensities are scaled so that the largest is 100.

Crystal structure
a = 3.8559 Å, b = 13.0311 Å, c = 13.2266 Å
α = 90.00°, β = 90.00°, γ = 90.00°
Space group Cmcm (No. 63)
Inequivalent atoms, fractional coordinates:
Tb1 0.0000 0.1296 0.0692
Sm1 0.0000 0.3743 0.2500
S1 0.0000 0.0314 0.2500
S2 0.0000 0.2252 0.6211
S3 0.0000 0.5000 0.0000

Main lines, sorted by position (2θ from 5° to 70°):
| d [Å] | intensity | (hkl) |
| --- | --- | --- |
| 3.651 | 100 | 0 2 3 |
| 3.561 | 28 | 1 1 1 |
| 3.258 | 25 | 0 4 0 |
| 3.227 | 26 | 1 1 2 |
| 2.817 | 36 | 1 3 1 |
| 2.643 | 51 | 1 3 2 |
| 2.151 | 31 | 1 1 5 |
| 2.053 | 17 | 1 5 2 |
| 1.949 | 39 | 0 6 3 |
| 1.705 | 24 | 2 2 3 |

Entry 4:
Simulated powder XRD pattern of Tb4SmS7 for Cu Kα (weighted mean of Kα1 and Kα2), from a PBE-relaxed structure.
Intensities are scaled so that the largest is 100.

Crystal structure
a = 13.0094 Å, b = 3.8401 Å, c = 11.6987 Å
α = 90.00°, β = 104.57°, γ = 90.00°
Space group Cm (No. 8)
Inequivalent atoms, fractional coordinates:
Tb1 0.0000 0.0000 0.0000
Tb2 0.0883 0.5000 0.3937
Tb3 0.1884 0.0000 0.7677
Tb4 0.3886 0.5000 0.5816
Sm1 0.2765 0.5000 0.1600
S1 0.0475 0.5000 0.6315
S2 0.1274 0.5000 0.9300
S3 0.1438 0.0000 0.2291
S4 0.2299 0.0000 0.5301
S5 0.3454 0.5000 0.7953
S6 0.3898 0.0000 0.0778
S7 0.4320 0.5000 0.3683

Main lines, sorted by position (2θ from 5° to 70°):
| d [Å] | intensity | (hkl) |
| --- | --- | --- |
| 3.765 | 88 | 2 0 2 |
| 3.671 | 100 | 2 0 -3 |
| 3.421 | 32 | 1 1 1 |
| 3.251 | 38 | 4 0 -1 |
| 2.865 | 40 | 3 1 -1 |
| 2.726 | 48 | 3 1 -2 |
| 2.645 | 38 | 3 1 1 |
| 2.326 | 26 | 1 1 -4 |
| 2.166 | 29 | 1 1 4 |
| 1.935 | 34 | 6 0 -4 |

Entry 5:
Simulated powder XRD pattern of Tb3Sm5S8 for Cu Kα (weighted mean of Kα1 and Kα2), from a PBE-relaxed structure.
Intensities are scaled so that the largest is 100.

Crystal structure
a = 7.9538 Å, b = 7.9538 Å, c = 19.5266 Å
α = 90.00°, β = 90.00°, γ = 120.00°
Space group R-3m (No. 166, hexagonal axes)
Inequivalent atoms, fractional coordinates:
Tb1 0.0000 0.5000 0.0000
Sm1 0.0000 0.0000 0.0000
Sm2 0.0000 0.0000 0.5000
Sm3 0.0000 0.5000 0.5000
S1 0.0000 0.0000 0.2528
S2 0.0038 0.5019 0.2519

Main lines, sorted by position (2θ from 5° to 70°):
| d [Å] | intensity | (hkl) |
| --- | --- | --- |
| 3.250 | 79 | 2 0 2 |
| 2.814 | 100 | 0 2 4 |
| 1.990 | 72 | 2 2 0 |
| 1.697 | 39 | 0 2 10 |
| 1.627 | 6 | 0 0 12 |
| 1.624 | 19 | 4 0 4 |
| 1.407 | 12 | 0 4 8 |

Entry 6:
Simulated powder XRD pattern of Tb4SmS4 for Cu Kα (weighted mean of Kα1 and Kα2), from a PBE-relaxed structure.
Intensities are scaled so that the largest is 100.

Crystal structure
a = 13.0417 Å, b = 3.9234 Å, c = 9.5459 Å
α = 90.00°, β = 119.71°, γ = 90.00°
Space group C2/m (No. 12)
Inequivalent atoms, fractional coordinates:
Tb1 0.0990 0.0000 0.3965
Tb2 0.2037 0.5000 0.7985
Sm1 0.0000 0.5000 0.0000
S1 0.1043 0.0000 0.8983
S2 0.2014 0.5000 0.3066

Main lines, sorted by position (2θ from 5° to 70°):
| d [Å] | intensity | (hkl) |
| --- | --- | --- |
| 3.210 | 36 | 4 0 -1 |
| 3.197 | 73 | 1 1 1 |
| 3.182 | 36 | 2 0 -3 |
| 2.774 | 100 | 3 1 -2 |
| 2.757 | 49 | 2 0 2 |
| 1.962 | 72 | 0 2 0 |
| 1.949 | 35 | 1 1 -4 |
| 1.675 | 23 | 4 2 -1 |
| 1.670 | 17 | 2 2 -3 |
| 1.598 | 19 | 2 2 2 |

Entry 7:
Simulated powder XRD pattern of Tb4Sm2S9 for Cu Kα (weighted mean of Kα1 and Kα2), from a PBE-relaxed structure.
Intensities are scaled so that the largest is 100.

Crystal structure
a = 6.9975 Å, b = 6.9975 Å, c = 18.6497 Å
α = 90.00°, β = 90.00°, γ = 120.00°
Space group P-3c1 (No. 165)
Inequivalent atoms, fractional coordinates:
Tb1 0.3333 0.6667 0.1850
Tb2 0.3333 0.6667 0.4833
Sm1 0.0000 0.0000 0.1472
S1 0.0000 0.3026 0.2500
S2 0.0322 0.3733 0.5836

Main lines, sorted by position (2θ from 5° to 70°):
| d [Å] | intensity | (hkl) |
| --- | --- | --- |
| 5.081 | 40 | 1 0 2 |
| 3.695 | 100 | 0 1 4 |
| 3.499 | 100 | 1 1 0 |
| 2.541 | 49 | 2 0 4 |
| 2.324 | 80 | 1 1 6 |
| 2.056 | 49 | 1 2 4 |
| 2.020 | 49 | 3 0 0 |
| 1.783 | 25 | 0 1 10 |
| 1.525 | 20 | 2 2 6 |
| 1.446 | 20 | 1 2 10 |

Entry 8:
Simulated powder XRD pattern of TbSm4S4 for Cu Kα (weighted mean of Kα1 and Kα2), from a PBE-relaxed structure.
Intensities are scaled so that the largest is 100.

Crystal structure
a = 8.8459 Å, b = 8.8459 Å, c = 5.6492 Å
α = 90.00°, β = 90.00°, γ = 90.00°
Space group I4/m (No. 87)
Inequivalent atoms, fractional coordinates:
Tb1 0.0000 0.0000 0.0000
Sm1 0.1018 0.3022 0.5000
S1 0.0982 0.2978 0.0000

Main lines, sorted by position (2θ from 5° to 70°):
| d [Å] | intensity | (hkl) |
| --- | --- | --- |
| 3.240 | 100 | 2 1 1 |
| 2.825 | 36 | 0 0 2 |
| 2.797 | 70 | 1 3 0 |
| 1.988 | 51 | 1 3 2 |
| 1.978 | 25 | 4 2 0 |
| 1.700 | 16 | 2 1 3 |
| 1.688 | 32 | 5 0 1 |
| 1.620 | 27 | 4 2 2 |
| 1.412 | 4 | 0 0 4 |
| 1.399 | 8 | 2 6 0 |